# Hf4Ga3H
Theoretical X-ray powder pattern, Cu Kα (weighted mean of Kα1 and Kα2). Input: the GGA-PBE geometry in Alexandria.

Crystal structure
Unit cell a=9.212 b=5.520 c=5.534 alpha=90.00 beta=90.00 gamma=90.00
Space group Pmn2_1 (No. 31)
Symmetry-distinct sites (fractional):
Hf 0.000 0.063 0.000 (multiplicity 2)
Hf 0.000 0.586 0.250 (multiplicity 2)
Hf 0.178 0.155 0.487 (multiplicity 4)
Ga 0.000 0.573 0.760 (multiplicity 2)
Ga 0.242 0.347 0.007 (multiplicity 4)
H 0.000 0.032 0.643 (multiplicity 2)

Peak list (10 most intense, 2θ = 10–90°, sorted by position)
- 18.7 deg, rel. 21
- 32.4 deg, rel. 26
- 33.4 deg, rel. 100
- 33.9 deg, rel. 57
- 36.3 deg, rel. 77
- 37.2 deg, rel. 55
- 37.7 deg, rel. 52
- 38.0 deg, rel. 62
- 41.5 deg, rel. 99
- 72.5 deg, rel. 24



# GaH2I2
Theoretical X-ray powder pattern, Cu Kα (weighted mean of Kα1 and Kα2). Input: the GGA-PBE geometry in Alexandria.

Crystal structure
Unit cell a=5.246 b=6.417 c=18.185 alpha=90.00 beta=90.00 gamma=90.00
Space group Imma (No. 74)
Symmetry-distinct sites (fractional):
Ga 0.000 0.250 0.079 (multiplicity 4)
H 0.000 0.191 0.725 (multiplicity 8)
I 0.000 0.250 0.371 (multiplicity 4)
I 0.000 0.250 0.931 (multiplicity 4)

Peak list (10 most intense, 2θ = 10–90°, sorted by position)
- 17.6 deg, rel. 35
- 19.5 deg, rel. 49
- 22.4 deg, rel. 43
- 24.0 deg, rel. 100
- 27.8 deg, rel. 74
- 29.5 deg, rel. 37
- 34.2 deg, rel. 67
- 38.7 deg, rel. 48
- 44.6 deg, rel. 40
- 48.3 deg, rel. 60



# GaHI5
Theoretical X-ray powder pattern, Cu Kα (weighted mean of Kα1 and Kα2). Input: the GGA-PBE geometry in Alexandria.

Crystal structure
Unit cell a=14.073 b=12.068 c=8.721 alpha=90.00 beta=90.00 gamma=90.00
Space group Pnma (No. 62)
Symmetry-distinct sites (fractional):
Ga 0.108 0.250 0.145 (multiplicity 4)
H 0.182 0.750 0.089 (multiplicity 4)
I 0.009 0.750 0.085 (multiplicity 4)
I 0.096 0.074 0.307 (multiplicity 8)
I 0.204 0.250 0.649 (multiplicity 4)
I 0.220 0.750 0.516 (multiplicity 4)

Peak list (10 most intense, 2θ = 10–90°, sorted by position)
- 14.6 deg, rel. 75
- 14.7 deg, rel. 100
- 16.2 deg, rel. 88
- 19.0 deg, rel. 49
- 21.5 deg, rel. 47
- 24.4 deg, rel. 71
- 25.2 deg, rel. 89
- 26.0 deg, rel. 69
- 28.3 deg, rel. 45
- 43.0 deg, rel. 58



# GaH4I
Theoretical X-ray powder pattern, Cu Kα (weighted mean of Kα1 and Kα2). Input: the GGA-PBE geometry in Alexandria.

Crystal structure
Unit cell a=4.760 b=5.043 c=5.946 alpha=107.65 beta=99.35 gamma=110.37
Space group P1 (No. 1)
Symmetry-distinct sites (fractional):
Ga 0.000 0.000 0.000 (multiplicity 1)
H 0.235 0.040 0.234 (multiplicity 1)
H 0.523 0.652 0.029 (multiplicity 1)
H 0.632 0.661 0.144 (multiplicity 1)
H 0.796 0.171 0.956 (multiplicity 1)
I 0.998 0.614 0.607 (multiplicity 1)

Peak list (10 most intense, 2θ = 10–90°, sorted by position)
- 16.4 deg, rel. 26
- 20.4 deg, rel. 20
- 20.6 deg, rel. 100
- 20.9 deg, rel. 97
- 26.7 deg, rel. 54
- 28.7 deg, rel. 29
- 31.0 deg, rel. 23
- 32.1 deg, rel. 35
- 33.1 deg, rel. 20
- 33.5 deg, rel. 19



# GaH3I6
Theoretical X-ray powder pattern, Cu Kα (weighted mean of Kα1 and Kα2). Input: the GGA-PBE geometry in Alexandria.

Crystal structure
Unit cell a=7.772 b=9.116 c=11.712 alpha=90.00 beta=101.45 gamma=90.00
Space group P2_1 (No. 4)
Symmetry-distinct sites (fractional):
Ga 0.093 0.000 0.259 (multiplicity 2)
H 0.094 0.960 0.578 (multiplicity 2)
H 0.277 0.600 0.991 (multiplicity 2)
H 0.378 0.738 0.196 (multiplicity 2)
I 0.033 0.445 0.958 (multiplicity 2)
I 0.140 0.474 0.616 (multiplicity 2)
I 0.238 0.974 0.703 (multiplicity 2)
I 0.296 0.218 0.298 (multiplicity 2)
I 0.305 0.757 0.329 (multiplicity 2)
I 0.461 0.706 0.030 (multiplicity 2)

Peak list (10 most intense, 2θ = 10–90°, sorted by position)
- 20.0 deg, rel. 22
- 22.7 deg, rel. 77
- 23.3 deg, rel. 100
- 24.8 deg, rel. 75
- 25.4 deg, rel. 54
- 26.1 deg, rel. 38
- 26.2 deg, rel. 41
- 39.5 deg, rel. 22
- 40.0 deg, rel. 43
- 46.4 deg, rel. 29



# Pr8Ga3HI4
Theoretical X-ray powder pattern, Cu Kα (weighted mean of Kα1 and Kα2). Input: the GGA-PBE geometry in Alexandria.

Crystal structure
Unit cell a=14.923 b=8.604 c=9.188 alpha=90.00 beta=122.80 gamma=90.00
Space group C2/m (No. 12)
Symmetry-distinct sites (fractional):
Pr 0.014 0.244 0.297 (multiplicity 8)
Pr 0.231 0.000 0.704 (multiplicity 4)
Pr 0.238 0.500 0.713 (multiplicity 4)
Ga 0.000 0.500 0.500 (multiplicity 2)
Ga 0.250 0.250 0.500 (multiplicity 4)
H 0.000 0.000 0.500 (multiplicity 2)
I 0.000 0.000 0.000 (multiplicity 2)
I 0.000 0.500 0.000 (multiplicity 2)
I 0.250 0.250 0.000 (multiplicity 4)

Peak list (10 most intense, 2θ = 10–90°, sorted by position)
- 28.5 deg, rel. 100
- 30.8 deg, rel. 16
- 39.4 deg, rel. 32
- 42.0 deg, rel. 38
- 51.5 deg, rel. 19
- 55.7 deg, rel. 12
- 58.9 deg, rel. 10
- 64.9 deg, rel. 9
- 68.5 deg, rel. 16
- 74.9 deg, rel. 9